[1]
Diffraction record for K2RbAlCl6. The powder XRD pattern is computed, not measured: it uses a cell relaxed with GGA-PBE and Cu Kα.
Peak positions follow from Bragg's law for the DFT cell and can differ from measured ones.

Atomic structure:
Lattice parameters (Å, degrees): 10.830 10.830 10.830 90.00 90.00 90.00
Space group Fm-3m (No. 225)
Asymmetric unit:
K 0.250 0.250 0.250 (multiplicity 8)
Rb 0.000 0.000 0.000 (multiplicity 4)
Al 0.000 0.000 0.500 (multiplicity 4)
Cl 0.000 0.000 0.284 (multiplicity 24)

Main lines, sorted by position (2θ = 15–90°):
d 5.415, 2θ 16.37, I 50, (2 0 0); d 3.829, 2θ 23.23, I 62, (2 2 0); d 3.265, 2θ 27.31, I 23, (3 1 1); d 3.126, 2θ 28.55, I 38, (2 2 2); d 2.707, 2θ 33.09, I 100, (4 0 0); d 2.484, 2θ 36.15, I 35, (3 3 1); d 1.914, 2θ 47.49, I 57, (4 4 0); d 1.712, 2θ 53.52, I 21, (6 2 0)

---

[2]
Diffraction record for Cs4HfO4. The powder XRD pattern is computed, not measured: it uses a cell relaxed with GGA-PBE and Cu Kα.
Peak positions follow from Bragg's law for the DFT cell and can differ from measured ones.

Atomic structure:
Lattice parameters (Å, degrees): 11.976 7.465 11.899 90.00 111.81 90.00
Space group P2_1/c (No. 14)
Asymmetric unit:
Cs 0.062 0.089 0.201 (multiplicity 4)
Cs 0.155 0.616 0.084 (multiplicity 4)
Cs 0.369 0.660 0.892 (multiplicity 4)
Cs 0.426 0.173 0.792 (multiplicity 4)
Hf 0.243 0.125 0.991 (multiplicity 4)
O 0.087 0.232 0.977 (multiplicity 4)
O 0.218 0.511 0.342 (multiplicity 4)
O 0.304 0.529 0.637 (multiplicity 4)
O 0.360 0.181 0.510 (multiplicity 4)

Main lines, sorted by position (2θ = 15–90°):
d 3.381, 2θ 26.36, I 100, (3 1 -2); d 3.346, 2θ 26.64, I 51, (2 0 2); d 3.260, 2θ 27.36, I 93, (1 2 1); d 2.759, 2θ 32.45, I 36, (4 1 -1); d 2.743, 2θ 32.65, I 43, (1 1 -4); d 2.079, 2θ 43.53, I 14, (2 3 -3); d 1.915, 2θ 47.48, I 20, (3 2 3); d 1.901, 2θ 47.86, I 15, (6 0 -4)